1.
Starting from a cell relaxed with PBE, the powder diffraction line list of Na6Sm4Ge4Se17 was computed for Cu Kα (weighted mean of Kα1 and Kα2).
Kinematic intensities with the Lorentz-polarization factor, no thermal factor.

Structure:
Unit cell a=22.885 b=11.187 c=6.979 alpha=90.00 beta=103.15 gamma=90.00
Space group C2 (No. 5)
Symmetry-distinct sites (fractional):
Na 0.006 0.000 0.240 [4 per cell]
Na 0.095 0.682 0.841 [4 per cell]
Na 0.097 0.687 0.298 [4 per cell]
Sm 0.183 0.320 0.911 [4 per cell]
Sm 0.193 0.044 0.424 [4 per cell]
Ge 0.146 0.377 0.375 [4 per cell]
Ge 0.153 0.977 0.890 [4 per cell]
Se 0.000 0.784 0.000 [2 per cell]
Se 0.090 0.448 0.072 [4 per cell]
Se 0.098 0.900 0.579 [4 per cell]
Se 0.102 0.122 0.041 [4 per cell]
Se 0.103 0.226 0.536 [4 per cell]
Se 0.175 0.530 0.621 [4 per cell]
Se 0.188 0.834 0.143 [4 per cell]
Se 0.239 0.288 0.344 [4 per cell]
Se 0.242 0.079 0.856 [4 per cell]

Most intense lines, 5° ≤ 2θ ≤ 70°, by intensity:
Position (°2θ), I/Imax, hkl
7.93, 100, 2 0 0
28.60, 30, 1 1 2
29.25, 27, 7 1 -1
35.28, 27, 1 3 -2
14.31, 25, 3 1 0
8.84, 19, 1 1 0
32.13, 19, 5 3 -1
29.36, 17, 6 2 -1
36.65, 16, 1 3 2
32.37, 15, 3 1 2
15.88, 15, 4 0 0
33.02, 14, 2 4 0

***

2.
Starting from a cell relaxed with PBE, the powder diffraction line list of Na2SnGeSe4 was computed for Cu Kα (weighted mean of Kα1 and Kα2).
Kinematic intensities with the Lorentz-polarization factor, no thermal factor.

Structure:
Unit cell a=9.915 b=7.738 c=6.323 alpha=90.00 beta=90.00 gamma=90.00
Space group Pmn2_1 (No. 31)
Symmetry-distinct sites (fractional):
Na 0.248 0.178 0.000 [4 per cell]
Sn 0.000 0.704 0.016 [2 per cell]
Ge 0.000 0.344 0.559 [2 per cell]
Se 0.000 0.365 0.941 [2 per cell]
Se 0.000 0.644 0.447 [2 per cell]
Se 0.208 0.202 0.474 [4 per cell]

Most intense lines, 5° ≤ 2θ ≤ 70°, by intensity:
Position (°2θ), I/Imax, hkl
28.23, 100, 0 0 2
21.29, 93, 2 1 0
18.12, 68, 0 1 1
22.99, 68, 0 2 0
39.38, 68, 2 3 0
49.17, 66, 2 3 2
36.24, 48, 4 0 0
11.44, 39, 0 1 0
35.62, 36, 2 1 2
46.56, 36, 4 0 2
36.71, 35, 0 2 2
17.89, 33, 2 0 0